Starting from a cell relaxed with PBE, the powder diffraction line list of Ge2PdF was simulated for Cu Kα X-rays.
Intensities are scaled so that the largest is 100.

Crystal structure
a b c (Å): 4.4022 4.4022 4.4022
angles (deg): 60.00 60.00 60.00
Element x y z (fractional)
Ge 0.2500 0.2500 0.2500
Ge 0.7500 0.7500 0.7500
Pd 0.0000 0.0000 0.0000
F 0.5000 0.5000 0.5000

Largest 9 diffraction maxima, in order of rising 2θ, 2θ = 10–90°:
two_theta, I/Imax
24.77, 26
28.68, 1
41.00, 100
48.50, 13
59.38, 16
65.34, 5
74.69, 32
80.10, 4
88.93, 10